Entry 1:
# CsK4Hg4
Calculated PXRD pattern, Cu Kα X-rays. Input: DFT lattice parameters and positions (PBE).
Peak positions follow from Bragg's law for the DFT cell and can differ from measured ones.

Cell and atoms:
a = 11.427 Å, b = 11.427 Å, c = 7.002 Å
α = 90.00°, β = 90.00°, γ = 90.00°
Space group P4_2/n (No. 86, origin choice 2)
Inequivalent atoms, fractional coordinates:
1 Cs 0.250 0.250 0.250 (multiplicity 2)
2 K 0.089 0.650 0.131 (multiplicity 8)
3 Hg 0.040 0.598 0.628 (multiplicity 8)

Principal peaks in the range 10 to 90 degrees two-theta, low angle first:
h k l  d (Å)  2θ/deg  I (rel.)
1 0 1  5.970  14.84  32
2 0 0  5.714  15.51  44
1 1 1  5.292  16.75  81
1 2 1  4.128  21.53  56
1 3 0  3.614  24.64  89
1 0 2  3.347  26.63  38
2 3 1  2.888  30.97  64
3 0 2  2.577  34.81  100
3 2 2  2.350  38.31  49
1 6 2  1.655  55.51  26

Entry 2:
# Ac4Pd2I
Calculated PXRD pattern, Cu Kα X-rays. Input: DFT lattice parameters and positions (PBE).
Peak positions follow from Bragg's law for the DFT cell and can differ from measured ones.

Cell and atoms:
a = 4.4449 Å, b = 4.4449 Å, c = 47.5736 Å
α = 90.00°, β = 90.00°, γ = 120.00°
Space group R-3m (No. 166, hexagonal axes)
Inequivalent atoms, fractional coordinates:
1 Ac 0.0000 0.0000 0.1268 (multiplicity 6)
2 Ac 0.0000 0.0000 0.2760 (multiplicity 6)
3 Pd 0.0000 0.0000 0.4251 (multiplicity 6)
4 I 0.0000 0.0000 0.0000 (multiplicity 3)

Principal peaks in the range 10 to 90 degrees two-theta, low angle first:
h k l  d (Å)  2θ/deg  I (rel.)
0 0 6  7.929  11.16  18
1 0 7  3.349  26.61  100
0 1 8  3.231  27.60  20
1 0 13  2.652  33.80  25
0 1 14  2.548  35.23  20
1 1 0  2.222  40.59  43
0 1 20  2.024  44.79  20
0 2 7  1.852  49.20  19
1 1 15  1.820  50.11  13
2 1 7  1.423  65.62  16

Entry 3:
# Sc4InNi2Os
Calculated PXRD pattern, Cu Kα X-rays. Input: DFT lattice parameters and positions (PBE).
Peak positions follow from Bragg's law for the DFT cell and can differ from measured ones.

Cell and atoms:
a = 4.6383 Å, b = 4.6383 Å, c = 23.1092 Å
α = 90.00°, β = 90.00°, γ = 120.00°
Space group R-3m (No. 166, hexagonal axes)
Inequivalent atoms, fractional coordinates:
1 Sc 0.0000 0.0000 0.1152 (multiplicity 6)
2 Sc 0.0000 0.0000 0.3685 (multiplicity 6)
3 In 0.0000 0.0000 0.5000 (multiplicity 3)
4 Ni 0.0000 0.0000 0.2506 (multiplicity 6)
5 Os 0.0000 0.0000 0.0000 (multiplicity 3)

Principal peaks in the range 10 to 90 degrees two-theta, low angle first:
h k l  d (Å)  2θ/deg  I (rel.)
0 0 3  7.703  11.49  13
0 1 2  3.794  23.45  30
1 0 4  3.298  27.04  46
0 1 8  2.345  38.38  98
1 1 0  2.319  38.83  100
2 0 8  1.649  55.74  32
1 1 12  1.482  62.71  11
1 0 16  1.359  69.11  14
1 2 8  1.344  70.01  31
3 0 0  1.339  70.31  16